Entry 1:
K3Tl2Sb4Pb2: calculated X-ray powder pattern (Cu Kα, 1.54184 Å), based on the PBE geometry in Alexandria.
Lines closer than 0.1° are merged.

Structural model:
a = 5.328 Å, b = 5.328 Å, c = 17.088 Å
α = 90.00°, β = 90.00°, γ = 120.00°
Fractional positions:
K 0.000 0.000 0.000
K 0.000 0.000 0.273
K 0.000 0.000 0.727
Tl 0.333 0.667 0.138
Tl 0.667 0.333 0.862
Sb 0.333 0.667 0.389
Sb 0.333 0.667 0.864
Sb 0.667 0.333 0.136
Sb 0.667 0.333 0.611
Pb 0.333 0.667 0.568
Pb 0.667 0.333 0.432

Most intense lines, 2θ = 10–90°, low angle first:
2θ/deg	I_rel
15.56	22
19.23	53
20.79	34
24.83	28
28.47	56
32.60	28
33.64	100
39.88	39
50.72	38
60.16	19

Entry 2:
Tm2InSn4: calculated X-ray powder pattern (Cu Kα, 1.54184 Å), based on the PBE geometry in Alexandria.
Lines closer than 0.1° are merged.

Structural model:
a = 4.381 Å, b = 4.381 Å, c = 9.925 Å
α = 90.00°, β = 90.00°, γ = 90.00°
Fractional positions:
Tm 0.000 0.500 0.246
Tm 0.500 0.000 0.754
In 0.000 0.000 0.500
Sn 0.000 0.000 0.000
Sn 0.000 0.500 0.699
Sn 0.500 0.000 0.301
Sn 0.500 0.500 0.000

Most intense lines, 2θ = 10–90°, low angle first:
2θ/deg	I_rel
22.18	9
27.15	9
34.12	100
36.20	16
41.21	33
56.00	18
59.70	14
63.78	8
70.58	26
71.85	9

Entry 3:
Mg8Hg3Pb2: calculated X-ray powder pattern (Cu Kα, 1.54184 Å), based on the PBE geometry in Alexandria.
Lines closer than 0.1° are merged.

Structural model:
a = 8.599 Å, b = 8.599 Å, c = 4.797 Å
α = 90.00°, β = 90.00°, γ = 112.62°
Fractional positions:
Mg 0.120 0.880 0.000
Mg 0.127 0.368 0.500
Mg 0.368 0.127 0.500
Mg 0.373 0.627 0.000
Mg 0.627 0.373 0.000
Mg 0.632 0.873 0.500
Mg 0.873 0.632 0.500
Mg 0.880 0.120 0.000
Hg 0.242 0.242 0.000
Hg 0.500 0.500 0.500
Hg 0.758 0.758 0.000
Pb 0.245 0.755 0.500
Pb 0.755 0.245 0.500

Most intense lines, 2θ = 10–90°, low angle first:
2θ/deg	I_rel
22.36	86
24.89	29
26.35	50
36.56	100
37.49	24
37.72	25
42.34	18
54.24	17
67.03	19
67.34	17

Entry 4:
Cs2GeAs: calculated X-ray powder pattern (Cu Kα, 1.54184 Å), based on the PBE geometry in Alexandria.
Lines closer than 0.1° are merged.

Structural model:
a = 7.885 Å, b = 7.885 Å, c = 10.267 Å
α = 90.00°, β = 90.00°, γ = 89.89°
Fractional positions:
Cs 0.001 0.499 0.750
Cs 0.001 0.999 0.820
Cs 0.499 0.001 0.250
Cs 0.499 0.501 0.320
Cs 0.501 0.499 0.680
Cs 0.501 0.999 0.750
Cs 0.999 0.001 0.180
Cs 0.999 0.501 0.250
Ge 0.157 0.843 0.500
Ge 0.343 0.657 0.000
Ge 0.657 0.343 0.000
Ge 0.843 0.157 0.500
As 0.161 0.161 0.500
As 0.339 0.339 0.000
As 0.661 0.661 0.000
As 0.839 0.839 0.500

Most intense lines, 2θ = 10–90°, low angle first:
2θ/deg	I_rel
22.55	45
26.73	25
28.43	58
28.55	100
32.11	39
35.25	32
36.62	22
49.46	20
49.53	27
51.85	22

Entry 5:
Mn4Nb3Co: calculated X-ray powder pattern (Cu Kα, 1.54184 Å), based on the PBE geometry in Alexandria.
Lines closer than 0.1° are merged.

Structural model:
a = 4.782 Å, b = 4.153 Å, c = 5.682 Å
α = 90.00°, β = 90.05°, γ = 90.00°
Fractional positions:
Mn 0.211 0.000 0.406
Mn 0.227 0.500 0.146
Mn 0.773 0.500 0.854
Mn 0.789 0.000 0.594
Nb 0.261 0.500 0.657
Nb 0.500 0.000 0.000
Nb 0.739 0.500 0.343
Co 0.000 0.000 0.000

Most intense lines, 2θ = 10–90°, low angle first:
2θ/deg	I_rel
32.63	34
36.80	18
38.39	44
40.95	33
42.96	100
43.58	53
43.68	41
61.34	19
71.59	17
79.60	15

Entry 6:
La6As3P2O: calculated X-ray powder pattern (Cu Kα, 1.54184 Å), based on the PBE geometry in Alexandria.
Lines closer than 0.1° are merged.

Structural model:
a = 9.442 Å, b = 9.442 Å, c = 8.484 Å
α = 103.10°, β = 103.10°, γ = 26.02°
Fractional positions:
La 0.000 0.000 0.236
La 0.000 0.000 0.764
La 0.331 0.331 0.418
La 0.343 0.343 0.918
La 0.657 0.657 0.082
La 0.669 0.669 0.582
As 0.168 0.168 0.837
As 0.500 0.500 0.500
As 0.832 0.832 0.163
P 0.163 0.163 0.329
P 0.837 0.837 0.671
O 0.500 0.500 0.000

Most intense lines, 2θ = 10–90°, low angle first:
2θ/deg	I_rel
25.75	56
29.75	100
29.96	48
42.58	37
42.73	71
50.41	14
52.90	28
70.16	23
70.51	14
77.99	17

Entry 7:
DyBiIO6: calculated X-ray powder pattern (Cu Kα, 1.54184 Å), based on the PBE geometry in Alexandria.
Lines closer than 0.1° are merged.

Structural model:
a = 5.677 Å, b = 5.677 Å, c = 9.748 Å
α = 90.00°, β = 90.00°, γ = 120.00°
Fractional positions:
Dy 0.333 0.667 0.250
Dy 0.667 0.333 0.750
Bi 0.000 0.000 0.000
Bi 0.000 0.000 0.500
I 0.333 0.667 0.750
I 0.667 0.333 0.250
O 0.035 0.371 0.636
O 0.035 0.664 0.864
O 0.336 0.371 0.864
O 0.336 0.965 0.636
O 0.371 0.035 0.136
O 0.371 0.336 0.364
O 0.629 0.664 0.636
O 0.629 0.965 0.864
O 0.664 0.035 0.364
O 0.664 0.629 0.136
O 0.965 0.336 0.136
O 0.965 0.629 0.364

Most intense lines, 2θ = 10–90°, low angle first:
2θ/deg	I_rel
25.74	100
31.52	48
41.13	29
49.28	40
52.72	29
56.12	15
59.97	10
69.07	10
71.90	12
77.89	10

Entry 8:
BaScU2O8: calculated X-ray powder pattern (Cu Kα, 1.54184 Å), based on the PBE geometry in Alexandria.
Lines closer than 0.1° are merged.

Structural model:
a = 5.158 Å, b = 5.158 Å, c = 7.163 Å
α = 90.00°, β = 90.00°, γ = 93.77°
Fractional positions:
Ba 0.000 0.000 0.000
Sc 0.000 0.000 0.500
U 0.500 0.500 0.259
U 0.500 0.500 0.741
O 0.214 0.214 0.292
O 0.214 0.214 0.708
O 0.314 0.686 0.500
O 0.339 0.661 0.000
O 0.661 0.339 0.000
O 0.686 0.314 0.500
O 0.786 0.786 0.292
O 0.786 0.786 0.708

Most intense lines, 2θ = 10–90°, low angle first:
2θ/deg	I_rel
17.23	47
23.63	61
25.26	48
30.41	100
34.57	15
34.86	29
45.99	44
47.84	34
57.75	20
59.77	22

Entry 9:
LiGeH: calculated X-ray powder pattern (Cu Kα, 1.54184 Å), based on the PBE geometry in Alexandria.
Lines closer than 0.1° are merged.

Structural model:
a = 4.530 Å, b = 11.135 Å, c = 3.135 Å
α = 90.00°, β = 90.00°, γ = 90.00°
Fractional positions:
Li 0.151 0.152 0.000
Li 0.349 0.652 0.500
Li 0.651 0.348 0.500
Li 0.849 0.848 0.000
Ge 0.189 0.417 0.000
Ge 0.311 0.917 0.500
Ge 0.689 0.083 0.500
Ge 0.811 0.583 0.000
H 0.073 0.688 0.000
H 0.427 0.188 0.500
H 0.573 0.812 0.500
H 0.927 0.312 0.000

Most intense lines, 2θ = 10–90°, low angle first:
2θ/deg	I_rel
15.92	58
21.17	27
25.35	100
29.60	86
35.75	37
37.93	46
42.70	80
46.99	17
50.25	20
50.37	20

Q: Which formula does entry 9 have?
A: LiGeH